Structure and computed powder diffraction line list of NiHS6 (a DFT-relaxed cell (PBE, Alexandria); copper Kα).
Intensities are scaled so that the largest is 100.

Cell and atoms:
Cell lengths 4.212, 4.994, 8.647 Å; angles 76.99, 76.96, 72.56 degrees
Space group P-1 (No. 2)
Unique sites:
Ni  0.000  0.000  0.000 (multiplicity 1)
H  0.500  0.000  0.000 (multiplicity 1)
S  0.094  0.642  0.671 (multiplicity 2)
S  0.226  0.537  0.162 (multiplicity 2)
S  0.299  0.869  0.779 (multiplicity 2)

Largest 10 diffraction maxima, by angle, 2θ from 10° to 80°:
hkl	two_theta	d_spacing	intensity
0 0 1	10.7	8.302	100
1 0 0	22.5	3.960	32
0 1 -1	23.3	3.819	50
1 1 1	24.6	3.618	36
1 1 0	25.3	3.515	18
0 1 2	26.1	3.410	24
1 1 2	28.3	3.149	43
1 -1 1	34.8	2.581	33
1 -1 2	39.5	2.282	26
1 2 4	50.8	1.797	21


Structure and computed powder diffraction line list of NiSbH2 (a DFT-relaxed cell (PBE, Alexandria); copper Kα).
Intensities are scaled so that the largest is 100.

Cell and atoms:
Cell lengths 4.635, 4.635, 8.641 Å; angles 90.00, 90.00, 90.00 degrees
Space group I4_1/amd (No. 141, origin choice 2)
Unique sites:
Ni  0.000  0.250  0.375 (multiplicity 4)
Sb  0.000  0.250  0.875 (multiplicity 4)
H  0.000  0.000  0.500 (multiplicity 8)

Largest 10 diffraction maxima, by angle, 2θ from 10° to 80°:
hkl	two_theta	d_spacing	intensity
1 0 1	21.8	4.085	13
1 1 2	34.3	2.611	100
2 0 0	38.9	2.318	35
0 0 4	41.8	2.160	14
2 1 1	45.0	2.016	4
2 2 0	56.1	1.639	11
2 0 4	58.4	1.580	21
3 1 2	67.5	1.388	26
1 1 6	71.6	1.318	11
2 2 4	72.4	1.306	11


Structure and computed powder diffraction line list of SrTcNiSbH (a DFT-relaxed cell (PBE, Alexandria); copper Kα).
Intensities are scaled so that the largest is 100.

Cell and atoms:
Cell lengths 4.3090, 4.3090, 17.6597 Å; angles 90.00, 90.00, 120.00 degrees
Space group R3m (No. 160, hexagonal axes)
Unique sites:
Sr  0.0000  0.0000  0.0000 (multiplicity 3)
Tc  0.0000  0.0000  0.5319 (multiplicity 3)
Ni  0.0000  0.0000  0.2036 (multiplicity 3)
Sb  0.0000  0.0000  0.8015 (multiplicity 3)
H  0.0000  0.0000  0.6291 (multiplicity 3)

Largest 10 diffraction maxima, by angle, 2θ from 10° to 80°:
hkl	two_theta	d_spacing	intensity
0 0 3	15.1	5.887	69
1 0 1	24.4	3.651	22
0 0 6	30.4	2.943	20
1 0 4	31.4	2.850	100
0 1 5	35.0	2.565	63
1 1 0	41.9	2.154	100
1 1 3	44.8	2.023	25
1 1 6	52.6	1.738	25
0 2 4	53.3	1.719	22
2 1 4	70.0	1.344	19


Structure and computed powder diffraction line list of SrTcNiSbH (a DFT-relaxed cell (PBE, Alexandria); copper Kα).
Intensities are scaled so that the largest is 100.

Cell and atoms:
Cell lengths 4.1938, 4.1938, 6.3865 Å; angles 90.00, 90.00, 120.00 degrees
Space group P3m1 (No. 156)
Unique sites:
Sr  0.0000  0.0000  0.0000 (multiplicity 1)
Tc  0.6667  0.3333  0.6142 (multiplicity 1)
Ni  0.0000  0.0000  0.5289 (multiplicity 1)
Sb  0.3333  0.6667  0.3794 (multiplicity 1)
H  0.6667  0.3333  0.8848 (multiplicity 1)

Largest 10 diffraction maxima, by angle, 2θ from 10° to 80°:
hkl	two_theta	d_spacing	intensity
0 0 1	13.9	6.386	62
0 1 1	28.3	3.157	100
1 0 2	37.5	2.398	93
1 1 0	43.1	2.097	78
1 1 1	45.5	1.992	18
1 0 3	49.6	1.837	19
2 0 1	52.4	1.747	18
0 2 2	58.5	1.579	25
1 0 4	63.7	1.462	21
2 1 2	75.4	1.261	23


Structure and computed powder diffraction line list of SrTcNiSbH (a DFT-relaxed cell (PBE, Alexandria); copper Kα).
Intensities are scaled so that the largest is 100.

Cell and atoms:
Cell lengths 3.355, 3.457, 7.259 Å; angles 90.00, 90.00, 90.00 degrees
Space group Pmm2 (No. 25)
Unique sites:
Sr  0.000  0.000  0.000 (multiplicity 1)
Tc  0.000  0.000  0.534 (multiplicity 1)
Ni  0.500  0.500  0.718 (multiplicity 1)
Sb  0.500  0.500  0.345 (multiplicity 1)
H  0.500  0.000  0.718 (multiplicity 1)

Largest 10 diffraction maxima, by angle, 2θ from 10° to 80°:
hkl	two_theta	d_spacing	intensity
0 0 1	12.2	7.259	47
0 1 2	35.9	2.503	78
1 0 2	36.5	2.464	75
1 1 0	37.3	2.408	100
0 1 3	45.8	1.982	16
1 0 3	46.3	1.963	16
0 2 0	53.0	1.729	18
2 0 0	54.7	1.677	16
1 2 2	66.0	1.415	25
2 1 2	67.2	1.394	24


Structure and computed powder diffraction line list of SrTcNiSbH (a DFT-relaxed cell (PBE, Alexandria); copper Kα).
Intensities are scaled so that the largest is 100.

Cell and atoms:
Cell lengths 4.2684, 4.2684, 18.2354 Å; angles 90.00, 90.00, 120.00 degrees
Space group R3m (No. 160, hexagonal axes)
Unique sites:
Sr  0.0000  0.0000  0.0000 (multiplicity 3)
Tc  0.0000  0.0000  0.2095 (multiplicity 3)
Ni  0.0000  0.0000  0.5378 (multiplicity 3)
Sb  0.0000  0.0000  0.8038 (multiplicity 3)
H  0.0000  0.0000  0.3046 (multiplicity 3)

Largest 10 diffraction maxima, by angle, 2θ from 10° to 80°:
hkl	two_theta	d_spacing	intensity
0 0 3	14.6	6.078	61
1 0 1	24.6	3.623	23
1 0 4	31.1	2.871	71
0 1 5	34.5	2.596	84
1 1 0	42.4	2.133	100
1 1 3	45.0	2.014	20
2 0 5	55.8	1.649	21
1 0 10	56.3	1.635	20
1 2 5	72.4	1.305	19
3 0 0	77.5	1.232	18


Structure and computed powder diffraction line list of ScNi2H4 (a DFT-relaxed cell (PBE, Alexandria); copper Kα).
Intensities are scaled so that the largest is 100.

Cell and atoms:
Cell lengths 5.689, 5.689, 6.668 Å; angles 90.00, 90.00, 90.00 degrees
Space group I4_1/amd (No. 141, origin choice 2)
Unique sites:
Sc  0.000  0.250  0.375 (multiplicity 4)
Ni  0.000  0.000  0.000 (multiplicity 8)
H  0.000  0.081  0.735 (multiplicity 16)

Largest 10 diffraction maxima, by angle, 2θ from 10° to 80°:
hkl	two_theta	d_spacing	intensity
1 0 1	20.5	4.328	32
2 0 0	31.4	2.845	10
1 1 2	35.0	2.567	13
2 1 1	37.8	2.377	100
2 0 2	41.7	2.164	67
1 0 3	43.7	2.070	35
2 2 0	45.1	2.011	13
3 2 1	60.3	1.535	25
4 0 0	65.6	1.422	15
2 2 4	73.8	1.283	21


Structure and computed powder diffraction line list of ScSiNi2H (a DFT-relaxed cell (PBE, Alexandria); copper Kα).
Intensities are scaled so that the largest is 100.

Cell and atoms:
Cell lengths 3.597, 9.791, 6.634 Å; angles 90.00, 90.00, 90.00 degrees
Space group Cmcm (No. 63)
Unique sites:
Sc  0.000  0.057  0.250 (multiplicity 4)
Si  0.000  0.226  0.750 (multiplicity 4)
Ni  0.000  0.339  0.057 (multiplicity 8)
H  0.000  0.500  0.000 (multiplicity 4)

Largest 10 diffraction maxima, by angle, 2θ from 10° to 80°:
hkl	two_theta	d_spacing	intensity
0 2 0	18.1	4.896	42
1 3 0	37.2	2.417	100
1 1 2	38.0	2.366	98
0 4 1	39.2	2.296	42
1 3 1	39.7	2.271	41
0 2 3	45.0	2.015	45
1 3 2	46.5	1.953	43
1 1 3	49.3	1.850	55
2 0 0	50.8	1.798	43
1 5 3	69.2	1.358	24


Structure and computed powder diffraction line list of Ni3H2Se4 (a DFT-relaxed cell (PBE, Alexandria); copper Kα).
Intensities are scaled so that the largest is 100.

Cell and atoms:
Cell lengths 5.662, 10.020, 13.481 Å; angles 90.00, 90.00, 90.00 degrees
Space group Fmmm (No. 69)
Unique sites:
Ni  0.000  0.000  0.000 (multiplicity 4)
Ni  0.250  0.250  0.000 (multiplicity 8)
H  0.067  0.000  0.500 (multiplicity 8)
Se  0.000  0.165  0.121 (multiplicity 16)

Largest 10 diffraction maxima, by angle, 2θ from 10° to 80°:
hkl	two_theta	d_spacing	intensity
0 0 2	13.1	6.740	87
0 2 0	17.7	5.010	43
1 1 1	19.2	4.630	100
1 3 1	31.8	2.813	24
1 3 3	37.1	2.423	41
2 2 2	38.9	2.315	18
2 0 4	41.7	2.168	29
0 4 4	45.1	2.010	22
2 2 4	45.6	1.989	38
1 3 5	46.1	1.967	30


Structure and computed powder diffraction line list of Ti2Si3Ni5H2 (a DFT-relaxed cell (PBE, Alexandria); copper Kα).
Intensities are scaled so that the largest is 100.

Cell and atoms:
Cell lengths 3.584, 3.584, 19.904 Å; angles 90.00, 90.00, 90.00 degrees
Space group I4/mmm (No. 139)
Unique sites:
Ti  0.000  0.000  0.200 (multiplicity 4)
Si  0.000  0.000  0.329 (multiplicity 4)
Si  0.000  0.000  0.500 (multiplicity 2)
Ni  0.000  0.000  0.000 (multiplicity 2)
Ni  0.000  0.500  0.090 (multiplicity 8)
H  0.000  0.000  0.088 (multiplicity 4)

Largest 10 diffraction maxima, by angle, 2θ from 10° to 80°:
hkl	two_theta	d_spacing	intensity
0 0 4	17.8	4.976	7
1 0 5	33.6	2.664	11
1 1 2	36.6	2.456	15
1 1 4	39.9	2.258	56
1 1 6	45.0	2.014	100
0 0 10	45.6	1.990	20
2 0 0	51.0	1.792	47
2 0 10	70.7	1.332	19
2 2 0	74.9	1.267	14
2 0 12	78.6	1.217	9


Structure and computed powder diffraction line list of SmNi2H8 (a DFT-relaxed cell (PBE, Alexandria); copper Kα).
Intensities are scaled so that the largest is 100.

Cell and atoms:
Cell lengths 4.145, 4.145, 9.804 Å; angles 90.00, 90.00, 90.00 degrees
Space group I4/mmm (No. 139)
Unique sites:
Sm  0.000  0.000  0.000 (multiplicity 2)
Ni  0.000  0.500  0.250 (multiplicity 4)
H  0.218  0.218  0.337 (multiplicity 16)

Largest 10 diffraction maxima, by angle, 2θ from 10° to 80°:
hkl	two_theta	d_spacing	intensity
1 0 1	23.3	3.818	84
1 0 3	35.0	2.566	31
1 1 2	35.7	2.516	100
0 0 4	36.7	2.451	22
2 0 0	43.7	2.073	26
2 1 1	50.1	1.821	22
2 1 3	57.1	1.612	14
2 0 4	58.3	1.583	24
1 1 6	65.4	1.427	16
3 1 2	75.0	1.266	22